Record 1
Theoretical XRD peak list of Re2Cl5O4 for a wavelength of 1.5418 Å, from the GGA-PBE geometry in the Materials Project.
Intensities are scaled so that the largest is 100.

abc: 6.4884 6.5647 8.4768
angles: 69.45 81.69 84.58
Space group P1 (No. 1)
One atom of each set of equivalent atoms:
Re 0.0000 0.0000 0.0000 (multiplicity 1)
Re 0.3580 0.4662 0.5613 (multiplicity 1)
Cl 0.1411 0.1321 0.1752 (multiplicity 1)
Cl 0.3029 0.7958 0.9850 (multiplicity 1)
Cl 0.5748 0.3073 0.4069 (multiplicity 1)
Cl 0.7955 0.3170 0.9294 (multiplicity 1)
Cl 0.9477 0.9814 0.7431 (multiplicity 1)
O 0.1295 0.5484 0.4712 (multiplicity 1)
O 0.2989 0.2906 0.7680 (multiplicity 1)
O 0.4713 0.6914 0.5642 (multiplicity 1)
O 0.8387 0.8136 0.1377 (multiplicity 1)

Main lines, in order of rising 2θ (2θ from 15° to 90°):
h k l  d (Å)  Rel. int.
1 0 1  5.293  100
1 0 -1  4.707  56
1 1 0  4.544  71
1 -1 0  4.334  54
0 1 -1  4.197  64
0 0 2  3.940  42
1 1 2  3.649  39
1 1 -1  3.462  31
2 -1 0  2.787  26
1 2 3  2.413  25

---

Record 2
Theoretical XRD peak list of TbGa2Co3 for a wavelength of 1.5418 Å, from the GGA-PBE geometry in the Materials Project.
Intensities are scaled so that the largest is 100.

abc: 5.2202 5.2202 3.7769
angles: 90.00 90.00 120.00
Space group P6/mmm (No. 191)
One atom of each set of equivalent atoms:
Tb 0.0000 0.0000 0.0000 (multiplicity 1)
Ga 0.3333 0.6667 0.0000 (multiplicity 2)
Co 0.0000 0.5000 0.5000 (multiplicity 3)

Main lines, in order of rising 2θ (2θ from 15° to 90°):
h k l  d (Å)  Rel. int.
1 0 1  2.898  37
1 1 0  2.610  38
2 0 0  2.260  32
1 1 1  2.147  100
0 0 2  1.888  20
1 1 2  1.530  15
2 0 2  1.449  15
3 0 1  1.400  24
2 2 0  1.305  17
1 1 3  1.134  12

---

Record 3
Theoretical XRD peak list of Hg for a wavelength of 1.5418 Å, from the GGA-PBE geometry in the Materials Project.
Intensities are scaled so that the largest is 100.

abc: 6.0740 6.4834 6.2467
angles: 90.00 113.49 90.00
Space group P2_1/c (No. 14)
One atom of each set of equivalent atoms:
Hg 0.0000 0.0000 0.0000 (multiplicity 2)
Hg 0.4169 0.1427 0.7601 (multiplicity 4)

Main lines, in order of rising 2θ (2θ from 15° to 90°):
h k l  d (Å)  Rel. int.
0 1 1  4.293  50
1 1 0  4.225  25
1 0 -2  3.099  65
1 1 1  2.995  43
0 2 1  2.821  57
1 2 0  2.800  42
2 0 0  2.785  29
2 1 -1  2.741  100
1 2 1  2.339  28
1 0 2  2.213  37

---

Record 4
Theoretical XRD peak list of CeAl3P2O14 for a wavelength of 1.5418 Å, from the GGA-PBE geometry in the Materials Project.
Intensities are scaled so that the largest is 100.

abc: 6.9482 6.9482 16.0640
angles: 90.00 90.00 120.00
Space group R-3m (No. 166, hexagonal axes)
One atom of each set of equivalent atoms:
Ce 0.0000 0.0000 0.0000 (multiplicity 3)
Al 0.0000 0.5000 0.5000 (multiplicity 9)
P 0.0000 0.0000 0.3181 (multiplicity 6)
O 0.0000 0.0000 0.4131 (multiplicity 6)
O 0.0921 0.5460 0.3847 (multiplicity 18)
O 0.1091 0.5545 0.7958 (multiplicity 18)

Main lines, in order of rising 2θ (2θ from 15° to 90°):
h k l  d (Å)  Rel. int.
1 0 1  5.635  100
1 1 0  3.474  59
1 1 3  2.914  94
2 0 2  2.817  17
1 2 2  2.188  27
1 0 7  2.144  34
1 1 6  2.121  14
0 3 3  1.878  35
2 2 0  1.737  22
4 1 3  1.275  15

---

Record 5
Theoretical XRD peak list of K2Pd3Se4 for a wavelength of 1.5418 Å, from the GGA-PBE geometry in the Materials Project.
Intensities are scaled so that the largest is 100.

abc: 6.4310 6.4656 13.8533
angles: 83.37 76.58 60.18
Space group P1 (No. 1)
One atom of each set of equivalent atoms:
K 0.0000 0.0000 0.0000 (multiplicity 1)
K 0.0920 0.5026 0.7993 (multiplicity 1)
K 0.2451 0.5056 0.5005 (multiplicity 1)
K 0.8410 0.0048 0.2973 (multiplicity 1)
Pd 0.1717 0.9949 0.6496 (multiplicity 1)
Pd 0.4205 0.9977 0.1483 (multiplicity 1)
Pd 0.4217 0.5067 0.1457 (multiplicity 1)
Pd 0.6634 0.0050 0.6535 (multiplicity 1)
Pd 0.6780 0.5047 0.6513 (multiplicity 1)
Pd 0.9184 0.4961 0.1524 (multiplicity 1)
Se 0.1992 0.3424 0.2731 (multiplicity 1)
Se 0.3099 0.3417 0.0260 (multiplicity 1)
Se 0.4400 0.8400 0.7749 (multiplicity 1)
Se 0.5239 0.6601 0.2737 (multiplicity 1)
Se 0.5766 0.8278 0.5251 (multiplicity 1)
Se 0.6527 0.6635 0.0277 (multiplicity 1)
Se 0.7772 0.1735 0.7713 (multiplicity 1)
Se 0.8944 0.1657 0.5313 (multiplicity 1)

Main lines, in order of rising 2θ (2θ from 15° to 90°):
h k l  d (Å)  Rel. int.
1 0 1  5.463  100
0 1 -1  5.179  87
1 0 -1  4.740  58
1 2 0  3.210  58
2 1 4  2.615  79
2 2 3  2.577  83
1 -1 4  2.476  91
1 2 5  2.197  63
2 2 -3  2.149  99
2 -2 1  1.616  57

---

Record 6
Theoretical XRD peak list of SrMg14SiO16 for a wavelength of 1.5418 Å, from the GGA-PBE geometry in the Materials Project.
Intensities are scaled so that the largest is 100.

abc: 4.4341 8.6545 8.7468
angles: 90.00 90.00 90.00
Space group Pmmm (No. 47)
One atom of each set of equivalent atoms:
Sr 0.0000 0.0000 0.0000 (multiplicity 1)
Mg 0.0000 0.0000 0.5000 (multiplicity 1)
Mg 0.0000 0.2555 0.2589 (multiplicity 4)
Mg 0.0000 0.5000 0.5000 (multiplicity 1)
Mg 0.5000 0.0000 0.2601 (multiplicity 2)
Mg 0.5000 0.2515 0.5000 (multiplicity 2)
Mg 0.5000 0.2584 0.0000 (multiplicity 2)
Mg 0.5000 0.5000 0.2536 (multiplicity 2)
Si 0.0000 0.5000 0.0000 (multiplicity 1)
O 0.0000 0.0000 0.2712 (multiplicity 2)
O 0.0000 0.2517 0.5000 (multiplicity 2)
O 0.0000 0.2685 0.0000 (multiplicity 2)
O 0.0000 0.5000 0.2676 (multiplicity 2)
O 0.5000 0.0000 0.0000 (multiplicity 1)
O 0.5000 0.0000 0.5000 (multiplicity 1)
O 0.5000 0.2502 0.2494 (multiplicity 4)
O 0.5000 0.5000 0.0000 (multiplicity 1)
O 0.5000 0.5000 0.5000 (multiplicity 1)

Main lines, in order of rising 2θ (2θ from 15° to 90°):
h k l  d (Å)  Rel. int.
0 0 3  2.918  14
1 2 2  2.527  50
2 0 0  2.217  100
0 0 4  2.187  92
0 4 0  2.164  91
2 0 4  1.557  55
2 4 0  1.548  55
0 4 4  1.538  52
1 2 6  1.319  11
2 4 4  1.264  49

---

Record 7
Theoretical XRD peak list of CaAl2H4Pb2O4F6 for a wavelength of 1.5418 Å, from the GGA-PBE geometry in the Materials Project.
Intensities are scaled so that the largest is 100.

abc: 4.7463 7.5820 7.8129
angles: 110.83 94.94 94.50
Space group P-1 (No. 2)
One atom of each set of equivalent atoms:
Ca 0.0000 0.0000 0.0000 (multiplicity 1)
Al 0.3720 0.3311 0.3476 (multiplicity 2)
H 0.1399 0.4950 0.6503 (multiplicity 2)
H 0.2399 0.8344 0.5947 (multiplicity 2)
Pb 0.4433 0.7842 0.2537 (multiplicity 2)
O 0.3189 0.4807 0.5936 (multiplicity 2)
O 0.4409 0.8447 0.5710 (multiplicity 2)
F 0.0431 0.1676 0.3040 (multiplicity 2)
F 0.1582 0.4695 0.2453 (multiplicity 2)
F 0.4384 0.1837 0.1078 (multiplicity 2)

Main lines, in order of rising 2θ (2θ from 15° to 90°):
h k l  d (Å)  Rel. int.
1 0 0  4.696  98
0 1 1  4.322  63
1 1 -1  3.773  100
0 0 2  3.624  56
0 2 0  3.519  36
0 2 -2  3.167  42
1 -2 1  3.021  36
1 2 0  2.670  44
1 2 -2  2.626  40
0 1 -3  2.594  39

---

Record 8
Theoretical XRD peak list of In2Au3 for a wavelength of 1.5418 Å, from the GGA-PBE geometry in the Materials Project.
Intensities are scaled so that the largest is 100.

abc: 4.6362 4.6362 5.9891
angles: 90.00 90.00 120.00
Space group P-3m1 (No. 164)
One atom of each set of equivalent atoms:
In 0.3333 0.6667 0.1796 (multiplicity 2)
Au 0.0000 0.0000 0.0000 (multiplicity 1)
Au 0.3333 0.6667 0.6470 (multiplicity 2)

Main lines, in order of rising 2θ (2θ from 15° to 90°):
h k l  d (Å)  Rel. int.
1 0 1  3.335  55
0 1 2  2.400  100
1 1 0  2.318  90
0 2 1  1.903  12
2 0 2  1.667  33
2 1 1  1.471  11
1 0 4  1.403  16
1 2 2  1.354  33
3 0 0  1.338  16
2 2 0  1.159  10